1.
# Be2CdGe
Calculated powder X-ray diffraction pattern, CuKα. Input: a structure optimized by DFT (PBE).
No peak broadening, texture or thermal motion is included.

Crystal structure
Cell lengths 6.3111, 6.3111, 6.3111 Å; angles 90.00, 90.00, 90.00 degrees
Space group F-43m (No. 216)
Inequivalent atoms, fractional coordinates:
Be 0.0000 0.0000 0.0000
Be 0.2500 0.2500 0.2500
Cd 0.2500 0.2500 0.7500
Ge 0.0000 0.0000 0.5000

The 10 most intense peaks (2θ from 10° to 80°), in order of falling intensity:
two_theta, I/Imax, h k l
24.43, 100, 1 1 1
40.42, 98, 2 2 0
47.80, 49, 3 1 1
73.51, 32, 4 2 2
64.34, 19, 3 3 1
58.50, 16, 4 0 0
78.80, 14, 5 1 1
28.28, 5, 2 0 0
66.23, 2, 4 2 0
50.07, 1, 2 2 2

2.
# Cs2KAs2Pd3
Calculated powder X-ray diffraction pattern, CuKα. Input: a structure optimized by DFT (PBE).
No peak broadening, texture or thermal motion is included.

Crystal structure
Cell lengths 6.0514, 6.0514, 22.1808 Å; angles 90.00, 90.00, 120.00 degrees
Space group R-3m (No. 166, hexagonal axes)
Inequivalent atoms, fractional coordinates:
Cs 0.0000 0.0000 0.0881
K 0.0000 0.0000 0.5000
As 0.0000 0.0000 0.2544
Pd 0.0000 0.5000 0.0000

The 10 most intense peaks (2θ from 10° to 80°), in order of falling intensity:
two_theta, I/Imax, h k l
26.32, 100, 0 1 5
38.45, 96, 1 1 6
11.97, 91, 0 0 3
34.47, 72, 0 2 1
29.52, 52, 1 1 0
58.46, 41, 3 0 6
50.46, 32, 1 2 5
61.27, 32, 2 2 0
33.04, 31, 1 0 7
37.98, 29, 0 2 4

3.
# Ge3Bi2Pt2
Calculated powder X-ray diffraction pattern, CuKα. Input: a structure optimized by DFT (PBE).
No peak broadening, texture or thermal motion is included.

Crystal structure
Cell lengths 4.5901, 4.5901, 25.6496 Å; angles 90.00, 90.00, 120.00 degrees
Space group R3m (No. 160, hexagonal axes)
Inequivalent atoms, fractional coordinates:
Ge 0.0000 0.0000 0.0000
Ge 0.0000 0.0000 0.2638
Ge 0.0000 0.0000 0.5434
Bi 0.0000 0.0000 0.1425
Bi 0.0000 0.0000 0.7197
Pt 0.0000 0.0000 0.4379
Pt 0.0000 0.0000 0.9055

The 10 most intense peaks (2θ from 10° to 80°), in order of falling intensity:
two_theta, I/Imax, h k l
39.26, 100, 1 1 0
33.25, 62, 1 0 7
26.38, 57, 1 0 4
28.40, 28, 0 1 5
45.08, 28, 0 1 11
10.35, 26, 0 0 3
41.92, 18, 1 0 10
71.16, 18, 3 0 0
52.37, 17, 0 2 7
67.36, 17, 2 1 7

4.
# HgPt
Calculated powder X-ray diffraction pattern, CuKα. Input: a structure optimized by DFT (PBE).
No peak broadening, texture or thermal motion is included.

Crystal structure
Cell lengths 3.0276, 3.0276, 3.9056 Å; angles 90.00, 90.00, 90.00 degrees
Space group P4/mmm (No. 123)
Inequivalent atoms, fractional coordinates:
Hg 0.0000 0.0000 0.0000
Pt 0.5000 0.5000 0.5000

The 6 most intense peaks (2θ from 10° to 80°), in order of falling intensity:
two_theta, I/Imax, h k l
37.59, 100, 1 0 1
42.21, 36, 1 1 0
74.12, 28, 2 1 1
64.60, 21, 1 1 2
46.50, 14, 0 0 2
61.23, 12, 2 0 0